Entry 1:
BaSrSbF: computed X-ray diffraction stick pattern (Cu Kα (λ = 1.5418 Å)), based on the PBE geometry in Alexandria.

Main lines, in order of rising 2θ (2θ = 10–90°):
- 2θ = 24.40°, I = 31
- 2θ = 24.99°, I = 100
- 2θ = 26.04°, I = 50
- 2θ = 30.49°, I = 52
- 2θ = 32.30°, I = 62
- 2θ = 34.78°, I = 77
- 2θ = 43.30°, I = 45
- 2θ = 48.19°, I = 40
- 2θ = 50.00°, I = 27
- 2θ = 58.96°, I = 26

Structure:
```
BaSrSbF
1.0
5.1590 0.0000 0.0000
0.0000 5.1590 0.0000
0.0000 0.0000 9.8578
Ba Sr Sb F
2 2 2 2
direct
0.2500 0.2500 0.1021
0.7500 0.7500 0.8979
0.2500 0.7500 0.5000
0.7500 0.2500 0.5000
0.2500 0.2500 0.7070
0.7500 0.7500 0.2930
0.2500 0.7500 0.0000
0.7500 0.2500 0.0000
```

Entry 2:
Tb2Sn2Pd5: computed X-ray diffraction stick pattern (Cu Kα (λ = 1.5418 Å)), based on the PBE geometry in Alexandria.

Main lines, in order of rising 2θ (2θ = 10–90°):
- 2θ = 29.12°, I = 30
- 2θ = 33.02°, I = 26
- 2θ = 36.62°, I = 34
- 2θ = 37.62°, I = 30
- 2θ = 38.35°, I = 54
- 2θ = 38.69°, I = 100
- 2θ = 39.38°, I = 26
- 2θ = 40.88°, I = 50
- 2θ = 45.36°, I = 28
- 2θ = 68.26°, I = 33

Structure:
```
Tb2Sn2Pd5
1.0
-2.9516 8.1534 3.7832
2.9516 -8.1534 3.7832
2.9516 8.1534 -3.7832
Tb Sn Pd
4 4 10
direct
0.2028 0.0919 0.1109
0.4809 0.0919 0.3891
0.5191 0.9081 0.6109
0.7972 0.9081 0.8891
0.0000 0.0000 0.5000
0.0000 0.5000 0.0000
0.0000 0.5000 0.5000
0.5000 0.5000 0.0000
0.1760 0.5138 0.6623
0.1776 0.0000 0.6776
0.1776 0.5000 0.1776
0.3515 0.5138 0.8377
0.5000 0.0000 0.0000
0.5000 0.5000 0.5000
0.6485 0.4862 0.1623
0.8224 0.0000 0.3224
0.8224 0.5000 0.8224
0.8240 0.4862 0.3377
```

Entry 3:
Y2Mg3Cd3: computed X-ray diffraction stick pattern (Cu Kα (λ = 1.5418 Å)), based on the PBE geometry in Alexandria.

Main lines, in order of rising 2θ (2θ = 10–90°):
- 2θ = 10.59°, I = 5
- 2θ = 21.29°, I = 16
- 2θ = 24.64°, I = 6
- 2θ = 35.12°, I = 100
- 2θ = 41.44°, I = 8
- 2θ = 50.51°, I = 17
- 2θ = 62.99°, I = 25
- 2θ = 63.06°, I = 9
- 2θ = 74.29°, I = 5
- 2θ = 84.85°, I = 14

Structure:
```
Y2Mg3Cd3
1.0
2.5535 1.4743 8.3570
-2.5535 1.4743 8.3570
0.0000 -2.9485 8.3570
Y Mg Cd
2 3 3
direct
0.0000 0.0000 0.0000
0.4948 0.4948 0.4948
0.2464 0.2464 0.2464
0.6215 0.6215 0.6215
0.7479 0.7479 0.7479
0.1233 0.1233 0.1233
0.3691 0.3691 0.3691
0.8757 0.8757 0.8757
```

What did the third record say?
Y2Mg3Cd3: computed X-ray diffraction stick pattern (Cu Kα (λ = 1.5418 Å)), based on the PBE geometry in Alexandria.

Main lines, in order of rising 2θ (2θ = 10–90°):
- 2θ = 10.59°, I = 5
- 2θ = 21.29°, I = 16
- 2θ = 24.64°, I = 6
- 2θ = 35.12°, I = 100
- 2θ = 41.44°, I = 8
- 2θ = 50.51°, I = 17
- 2θ = 62.99°, I = 25
- 2θ = 63.06°, I = 9
- 2θ = 74.29°, I = 5
- 2θ = 84.85°, I = 14

Structure:
```
Y2Mg3Cd3
1.0
2.5535 1.4743 8.3570
-2.5535 1.4743 8.3570
0.0000 -2.9485 8.3570
Y Mg Cd
2 3 3
direct
0.0000 0.0000 0.0000
0.4948 0.4948 0.4948
0.2464 0.2464 0.2464
0.6215 0.6215 0.6215
0.7479 0.7479 0.7479
0.1233 0.1233 0.1233
0.3691 0.3691 0.3691
0.8757 0.8757 0.8757
```